For ScWN3, a PBE-relaxed structure gives the simulated powder X-ray diffraction pattern in this record (CuKα).
Kinematic intensities with the Lorentz-polarization factor, no thermal factor.

Crystal structure
```
data_ScWN3
_symmetry_space_group_name_H-M 'P -1'
_symmetry_Int_Tables_number 2
_cell_length_a 5.707
_cell_length_b 6.751
_cell_length_c 8.712
_cell_angle_alpha 89.94
_cell_angle_beta 74.28
_cell_angle_gamma 83.89
loop_
_symmetry_equiv_pos_as_xyz
'x,y,z'
'-x,-y,-z'
loop_
_atom_site_label
_atom_site_fract_x
_atom_site_fract_y
_atom_site_fract_z
_atom_site_occupancy
Sc1 0.181 0.216 0.253 1
Sc2 0.241 0.056 0.603 1
W1 0.008 0.372 0.863 1
W2 0.311 0.764 0.326 1
N1 0.000 0.329 0.076 1
N2 0.100 0.892 0.204 1
N3 0.105 0.780 0.531 1
N4 0.260 0.513 0.235 1
N5 0.318 0.323 0.723 1
N6 0.422 0.038 0.355 1
```

Largest 10 diffraction maxima, in order of rising 2θ, 15° ≤ 2θ ≤ 90°:
hkl 1 0 0, 2θ = 16.23°, intensity 18; hkl 0 1 -1, 2θ = 16.68°, intensity 100; hkl 0 0 2, 2θ = 21.20°, intensity 15; hkl 1 0 -1, 2θ = 21.71°, intensity 42; hkl 1 -1 0, 2θ = 22.09°, intensity 20; hkl 2 1 0, 2θ = 34.07°, intensity 20; hkl 1 1 3, 2θ = 34.17°, intensity 15; hkl 1 2 2, 2θ = 34.45°, intensity 18; hkl 2 -1 2, 2θ = 37.70°, intensity 15; hkl 1 3 1, 2θ = 42.48°, intensity 18